For Sr3CdRh2, a crystal structure in Alexandria, relaxed with PBE gives the simulated X-ray diffraction stick pattern in this record (Cu Kα X-rays).

```
data_Sr3CdRh2
_cell_length_a 7.3781
_cell_length_b 7.3781
_cell_length_c 7.3781
_cell_angle_alpha 73.69
_cell_angle_beta 73.69
_cell_angle_gamma 73.69
_symmetry_space_group_name_H-M 'P 1'
_symmetry_Int_Tables_number 1
loop_
_symmetry_equiv_pos_as_xyz
'x,y,z'
loop_
_atom_site_label
_atom_site_type_symbol
_atom_site_fract_x
_atom_site_fract_y
_atom_site_fract_z
Sr1 Sr 0.0614 0.7500 0.4386
Sr2 Sr 0.2500 0.5614 0.9386
Sr3 Sr 0.4386 0.0614 0.7500
Sr4 Sr 0.5614 0.9386 0.2500
Sr5 Sr 0.7500 0.4386 0.0614
Sr6 Sr 0.9386 0.2500 0.5614
Cd1 Cd 0.0000 0.0000 0.0000
Cd2 Cd 0.5000 0.5000 0.5000
Rh1 Rh 0.1672 0.1672 0.1672
Rh2 Rh 0.3328 0.3328 0.3328
Rh3 Rh 0.6672 0.6672 0.6672
Rh4 Rh 0.8328 0.8328 0.8328
```

Most intense lines, 10° ≤ 2θ ≤ 90°, low angle first:
two_theta  d [Å]  intensity
20.07  4.424  49
26.19  3.403  66
35.13  2.554  100
39.51  2.281  90
44.34  2.043  14
53.89  1.701  35
63.03  1.475  16
65.97  1.416  36
81.57  1.180  17
87.55  1.114  16